# 1
The following is a theoretical X-ray powder pattern of Tb4Y4Er. It was derived from a cell relaxed with PBE, using Cu Kα X-rays.

Cell and atoms:
a = 8.8127 Å, b = 8.8127 Å, c = 6.8024 Å
α = 110.58°, β = 110.58°, γ = 36.39°
Sites, in units of the cell vectors:
1 Tb 0.0730 0.0730 0.3884
2 Tb 0.3630 0.3630 0.2926
3 Tb 0.6370 0.6370 0.7074
4 Tb 0.9270 0.9270 0.6116
5 Y 0.1348 0.1348 0.9745
6 Y 0.2809 0.2809 0.7016
7 Y 0.7191 0.7191 0.2984
8 Y 0.8652 0.8652 0.0255
9 Er 0.5000 0.5000 0.0000

Peak list (10 most intense, 10° ≤ 2θ ≤ 90°, by angle)
2theta, intensity
23.5, 20
30.7, 78
31.7, 100
32.1, 37
32.5, 50
33.1, 17
46.4, 26
56.9, 15
57.5, 31
64.2, 16

# 2
The following is a theoretical X-ray powder pattern of TbY4Er. It was derived from a cell relaxed with PBE, using Cu Kα X-rays.

Cell and atoms:
a = 3.4635 Å, b = 5.8216 Å, c = 9.8729 Å
α = 90.00°, β = 90.00°, γ = 90.00°
Sites, in units of the cell vectors:
1 Tb 0.0000 0.0000 0.0000
2 Y 0.0000 0.5000 0.1882
3 Y 0.0000 0.5000 0.8118
4 Y 0.5000 0.0000 0.3133
5 Y 0.5000 0.0000 0.6867
6 Er 0.5000 0.5000 0.5000

Peak list (10 most intense, 10° ≤ 2θ ≤ 90°, by angle)
2theta, intensity
17.7, 27
27.3, 62
30.7, 51
31.2, 89
35.2, 100
41.5, 40
53.4, 19
57.6, 24
62.7, 24
62.9, 23